No. 1
Starting from a DFT-relaxed cell (PBE, the Materials Project), the powder XRD pattern of InCuSe2 was simulated for λ = 1.5418 Å (Cu Kα).
Intensities are scaled so that the largest is 100.

```
16
Lattice="5.879 0.000 0.000 0.000 5.879 0.000 0.000 0.000 11.803" Properties=species:S:1:pos:R:3 pbc="T T T"
In 0.000 0.000 0.000
In 0.000 2.939 2.951
In 2.939 0.000 8.852
In 2.939 2.939 5.901
Cu 0.000 0.000 5.901
Cu 0.000 2.939 8.852
Cu 2.939 0.000 2.951
Cu 2.939 2.939 0.000
Se 1.290 1.470 7.377
Se 1.470 4.229 10.327
Se 1.470 4.589 4.426
Se 1.650 1.470 1.475
Se 4.229 4.409 1.475
Se 4.409 1.290 4.426
Se 4.409 1.650 10.327
Se 4.589 4.409 7.377
```

Largest 6 diffraction maxima, in order of falling intensity, 10° ≤ 2θ ≤ 90°:
2θ = 26.2°, rel. 100, (1 1 2)
2θ = 43.5°, rel. 72, (2 0 4)
2θ = 51.5°, rel. 28, (3 1 2)
2θ = 51.4°, rel. 15, (1 1 6)
2θ = 79.9°, rel. 14, (4 2 4)
2θ = 69.6°, rel. 11, (3 1 6)

***

No. 2
Starting from a DFT-relaxed cell (PBE, the Materials Project), the powder XRD pattern of InCuSe2 was simulated for λ = 1.5418 Å (Cu Kα).
Intensities are scaled so that the largest is 100.

```
8
Lattice="7.167 0.000 0.000 0.000 4.149 0.000 -0.029 0.000 6.823" Properties=species:S:1:pos:R:3 pbc="T T T"
In 0.000 0.000 0.000
In 3.583 2.075 0.000
Cu 1.172 2.075 3.008
Cu 4.755 0.000 3.008
Se 1.162 2.075 5.571
Se 3.565 2.075 2.560
Se 4.746 0.000 5.571
Se 7.149 0.000 2.560
```

Largest 6 diffraction maxima, in order of falling intensity, 10° ≤ 2θ ≤ 90°:
2θ = 24.8°, rel. 100, (2 0 0)
2θ = 43.7°, rel. 81, (3 1 0)
2θ = 28.1°, rel. 55, (1 1 -1)
2θ = 26.1°, rel. 44, (0 0 2)
2θ = 47.4°, rel. 42, (1 1 3)
2θ = 36.3°, rel. 36, (1 1 -2)

***

No. 3
Starting from a DFT-relaxed cell (PBE, the Materials Project), the powder XRD pattern of In2CuSe4 was simulated for λ = 1.5418 Å (Cu Kα).
Intensities are scaled so that the largest is 100.

```
14
Lattice="5.746 0.000 0.000 0.000 5.746 0.000 0.000 0.000 11.590" Properties=species:S:1:pos:R:3 pbc="T T T"
In 0.000 0.000 0.000
In 0.000 2.873 2.898
In 2.873 0.000 8.693
In 2.873 2.873 5.795
Cu 0.000 2.873 8.693
Cu 2.873 0.000 2.898
Se 1.196 4.363 7.192
Se 1.383 1.196 4.398
Se 1.490 1.677 10.193
Se 1.677 4.256 1.397
Se 4.069 1.490 1.397
Se 4.256 4.069 10.193
Se 4.363 4.550 4.398
Se 4.550 1.383 7.192
```

Largest 6 diffraction maxima, in order of falling intensity, 10° ≤ 2θ ≤ 90°:
2θ = 26.8°, rel. 100, (1 1 2)
2θ = 44.4°, rel. 48, (2 0 4)
2θ = 52.8°, rel. 25, (3 1 2)
2θ = 44.6°, rel. 22, (2 2 0)
2θ = 35.8°, rel. 17, (1 2 1)
2θ = 52.4°, rel. 15, (1 1 6)

***

No. 4
Starting from a DFT-relaxed cell (PBE, the Materials Project), the powder XRD pattern of InCuSe2 was simulated for λ = 1.5418 Å (Cu Kα).
Intensities are scaled so that the largest is 100.

```
4
Lattice="4.161 0.000 0.000 0.000 4.161 0.000 0.000 0.000 5.854" Properties=species:S:1:pos:R:3 pbc="T T T"
In 0.000 0.000 0.000
Cu 2.081 2.081 2.927
Se 0.000 2.081 1.646
Se 2.081 0.000 4.208
```

Largest 6 diffraction maxima, in order of falling intensity, 10° ≤ 2θ ≤ 90°:
2θ = 26.3°, rel. 100, (1 0 1)
2θ = 43.6°, rel. 47, (1 1 2)
2θ = 51.5°, rel. 30, (2 1 1)
2θ = 43.5°, rel. 25, (2 0 0)
2θ = 79.9°, rel. 15, (3 1 2)
2θ = 51.7°, rel. 13, (1 0 3)

***

No. 5
Starting from a DFT-relaxed cell (PBE, the Materials Project), the powder XRD pattern of In3Cu3SiSe8 was simulated for λ = 1.5418 Å (Cu Kα).
Intensities are scaled so that the largest is 100.

```
15
Lattice="5.882 0.000 0.000 0.000 5.882 0.000 0.000 0.000 11.085" Properties=species:S:1:pos:R:3 pbc="T T T"
In 0.000 0.000 0.000
In 0.000 2.941 2.950
In 2.941 0.000 8.135
Cu 0.000 2.941 8.158
Cu 2.941 0.000 2.927
Cu 2.941 2.941 0.000
Si 2.941 2.941 5.542
Se 1.411 1.608 6.670
Se 1.467 4.246 9.616
Se 1.608 4.471 4.415
Se 1.636 1.467 1.469
Se 4.246 4.416 1.469
Se 4.275 1.411 4.415
Se 4.416 1.636 9.616
Se 4.471 4.275 6.670
```

Largest 6 diffraction maxima, in order of falling intensity, 10° ≤ 2θ ≤ 90°:
2θ = 26.8°, rel. 100, (1 1 2)
2θ = 44.9°, rel. 42, (2 0 4)
2θ = 51.8°, rel. 29, (3 1 2)
2θ = 43.5°, rel. 26, (2 2 0)
2θ = 80.9°, rel. 13, (4 2 4)
2θ = 54.3°, rel. 10, (1 1 6)

***

No. 6
Starting from a DFT-relaxed cell (PBE, the Materials Project), the powder XRD pattern of InCuSnSe4 was simulated for λ = 1.5418 Å (Cu Kα).
Intensities are scaled so that the largest is 100.

```
14
Lattice="5.900 0.000 0.000 0.000 5.900 0.000 0.000 0.000 11.482" Properties=species:S:1:pos:R:3 pbc="T T T"
In 0.000 0.000 0.000
In 2.950 2.950 5.741
Cu 0.000 0.000 5.741
Cu 2.950 2.950 0.000
Sn 0.000 2.950 2.870
Sn 2.950 0.000 8.611
Se 1.321 4.456 7.194
Se 1.444 1.321 4.287
Se 1.506 1.630 10.028
Se 1.630 4.394 1.453
Se 4.271 1.506 1.453
Se 4.394 4.271 10.028
Se 4.456 4.580 4.287
Se 4.580 1.444 7.194
```

Largest 6 diffraction maxima, in order of falling intensity, 10° ≤ 2θ ≤ 90°:
2θ = 26.4°, rel. 100, (1 1 2)
2θ = 44.0°, rel. 49, (2 0 4)
2θ = 51.5°, rel. 29, (1 3 2)
2θ = 43.4°, rel. 25, (2 2 0)
2θ = 16.9°, rel. 17, (1 0 1)
2θ = 80.0°, rel. 15, (2 4 4)

***

No. 7
Starting from a DFT-relaxed cell (PBE, the Materials Project), the powder XRD pattern of TaInCu2Se4 was simulated for λ = 1.5418 Å (Cu Kα).
Intensities are scaled so that the largest is 100.

```
16
Lattice="5.819 0.000 0.000 0.000 5.819 0.000 0.000 0.000 12.217" Properties=species:S:1:pos:R:3 pbc="T T T"
Ta 0.000 0.000 0.000
Ta 0.000 0.000 6.108
In 0.000 2.910 3.054
In 2.910 0.000 9.162
Cu 0.000 2.910 9.162
Cu 2.910 0.000 3.054
Cu 2.910 2.910 0.000
Cu 2.910 2.910 6.108
Se 1.236 1.635 7.460
Se 1.236 4.184 10.864
Se 1.635 1.236 1.352
Se 1.635 4.583 4.756
Se 4.184 1.236 4.756
Se 4.184 4.583 1.352
Se 4.583 1.635 10.864
Se 4.583 4.184 7.460
```

Largest 6 diffraction maxima, in order of falling intensity, 10° ≤ 2θ ≤ 90°:
2θ = 26.1°, rel. 100, (1 1 2)
2θ = 42.9°, rel. 47, (2 0 4)
2θ = 51.9°, rel. 27, (3 1 2)
2θ = 44.0°, rel. 21, (2 2 0)
2θ = 50.0°, rel. 16, (1 1 6)
2θ = 80.2°, rel. 11, (4 2 4)

***

No. 8
Starting from a DFT-relaxed cell (PBE, the Materials Project), the powder XRD pattern of ZnInCu3Se4 was simulated for λ = 1.5418 Å (Cu Kα).
Intensities are scaled so that the largest is 100.

```
9
Lattice="5.858 0.000 0.000 0.000 5.858 0.000 0.000 0.000 5.858" Properties=species:S:1:pos:R:3 pbc="T T T"
Zn 0.000 0.000 0.000
In 2.929 2.929 2.929
Cu 0.000 2.929 2.929
Cu 2.929 0.000 2.929
Cu 2.929 2.929 0.000
Se 1.422 1.422 4.436
Se 1.422 4.436 1.422
Se 4.436 1.422 1.422
Se 4.436 4.436 4.436
```

Largest 6 diffraction maxima, in order of falling intensity, 10° ≤ 2θ ≤ 90°:
2θ = 43.7°, rel. 100, (2 2 0)
2θ = 26.4°, rel. 67, (1 1 1)
2θ = 80.3°, rel. 31, (4 2 2)
2θ = 51.8°, rel. 30, (3 1 1)
2θ = 21.5°, rel. 19, (1 1 0)
2θ = 63.5°, rel. 16, (4 0 0)